1.
# Li4Ti3Fe3W2O16
Theoretical X-ray diffraction stick pattern, Cu Kα, 1.54184 Å. Input: the PBE+U geometry in the Materials Project.
Kinematic intensities with the Lorentz-polarization factor, no thermal factor.

Atomic structure:
```
data_Li4Ti3Fe3W2O16
_chemical_formula_sum 'Li4 Ti3 Fe3 W2 O16'
_space_group_name_H-M_alt 'P 1'
_space_group_IT_number 1
_cell_length_a 5.980
_cell_length_b 6.059
_cell_length_c 9.834
_cell_angle_alpha 88.34
_cell_angle_beta 90.00
_cell_angle_gamma 60.67
loop_
_space_group_symop_operation_xyz
'x,y,z'
loop_
_atom_site_label
_atom_site_fract_x
_atom_site_fract_y
_atom_site_fract_z
Li1 0.000 0.000 0.000
Li2 0.012 0.984 0.510
Li3 0.331 0.336 0.426
Li4 0.667 0.677 0.918
Ti1 0.173 0.652 0.738
Ti2 0.348 0.808 0.234
Ti3 0.844 0.819 0.229
Fe1 0.181 0.161 0.726
Fe2 0.662 0.156 0.725
Fe3 0.829 0.337 0.226
W1 0.341 0.317 0.000
W2 0.676 0.654 0.506
O1 0.012 0.975 0.816
O2 0.016 0.977 0.320
O3 0.036 0.498 0.866
O4 0.171 0.666 0.122
O5 0.182 0.161 0.110
O6 0.322 0.365 0.624
O7 0.350 0.811 0.611
O8 0.465 0.498 0.876
O9 0.480 0.038 0.873
O10 0.501 0.534 0.358
O11 0.527 0.949 0.357
O12 0.653 0.699 0.124
O13 0.678 0.147 0.113
O14 0.833 0.334 0.589
O15 0.846 0.813 0.608
O16 0.963 0.534 0.354
```

Top 8 peaks for 10° ≤ 2θ ≤ 90°, in order of rising 2θ:
- 2θ 18.81, d = 4.717 Å, I = 49
- 2θ 19.17, d = 4.631 Å, I = 94
- 2θ 19.37, d = 4.582 Å, I = 100
- 2θ 19.46, d = 4.561 Å, I = 51
- 2θ 24.71, d = 3.603 Å, I = 34
- 2θ 32.53, d = 2.752 Å, I = 35
- 2θ 34.29, d = 2.615 Å, I = 45
- 2θ 35.14, d = 2.554 Å, I = 66

***

2.
# LiV2FeO6
Theoretical X-ray diffraction stick pattern, Cu Kα, 1.54184 Å. Input: the PBE+U geometry in the Materials Project.
Kinematic intensities with the Lorentz-polarization factor, no thermal factor.

Atomic structure:
```
data_LiV2FeO6
_chemical_formula_sum 'Li4 V8 Fe4 O24'
_space_group_name_H-M_alt 'C 1 2/c 1'
_space_group_IT_number 15
_cell_length_a 10.868
_cell_length_b 8.625
_cell_length_c 5.750
_cell_angle_alpha 90.00
_cell_angle_beta 113.24
_cell_angle_gamma 90.00
loop_
_space_group_symop_operation_xyz
'x,y,z'
'-x,-y,-z'
'-x,y,-z+1/2'
'x,-y,z+1/2'
'x+1/2,y+1/2,z'
'-x+1/2,-y+1/2,-z'
'-x+1/2,y+1/2,-z+1/2'
'x+1/2,-y+1/2,z+1/2'
loop_
_atom_site_label
_atom_site_fract_x
_atom_site_fract_y
_atom_site_fract_z
Li1 0.000 0.220 0.250
V1 0.218 0.097 0.750
Fe1 0.000 0.416 0.750
O1 0.099 0.407 0.150
O2 0.139 0.275 0.747
O3 0.151 0.048 0.410
```

Top 8 peaks for 10° ≤ 2θ ≤ 90°, in order of rising 2θ:
- 2θ 13.57, d = 6.527 Å, I = 39
- 2θ 18.68, d = 4.749 Å, I = 19
- 2θ 20.60, d = 4.312 Å, I = 20
- 2θ 28.19, d = 3.166 Å, I = 100
- 2θ 28.75, d = 3.105 Å, I = 50
- 2θ 33.93, d = 2.642 Å, I = 44
- 2θ 35.89, d = 2.502 Å, I = 21
- 2θ 52.81, d = 1.734 Å, I = 24